This entry pairs a crystal structure of Na2MoH2O3F4 with its computed X-ray diffraction stick pattern. Radiation: Cu Ka. Structure: the PBE+U geometry in the Materials Project.
Kinematic intensities with the Lorentz-polarization factor, no thermal factor.

```
data_Na2MoH2O3F4
_cell_length_a 5.5031
_cell_length_b 5.8314
_cell_length_c 19.4632
_cell_angle_alpha 90.00
_cell_angle_beta 90.00
_cell_angle_gamma 90.00
_space_group_name_H-M_alt 'P 21 21 21'
_space_group_IT_number 19
loop_
_space_group_symop_operation_xyz
'x,y,z'
'-x+1/2,-y,z+1/2'
'x+1/2,-y+1/2,-z'
'-x,y+1/2,-z+1/2'
loop_
_atom_site_label
_atom_site_type_symbol
_atom_site_fract_x
_atom_site_fract_y
_atom_site_fract_z
Na1 Na 0.2387 0.2384 0.3618
Na2 Na 0.2398 0.6823 0.2497
Mo1 Mo 0.2349 0.7605 0.6359
H1 H 0.0051 0.7150 0.0050
H2 H 0.1972 0.0277 0.4981
O1 O 0.0343 0.4152 0.8705
O2 O 0.1420 0.2156 0.0543
O3 O 0.1627 0.1819 0.4803
F1 F 0.0248 0.9268 0.3225
F2 F 0.0738 0.9808 0.1753
F3 F 0.0979 0.4518 0.6286
F4 F 0.1401 0.7058 0.7426
```

Largest 6 diffraction maxima, sorted by position, 5° ≤ 2θ ≤ 70°:
Position (°2θ)  I_rel  (hkl)
9.1  79.2  0 0 2
18.5  95.4  1 0 2
20.5  57.6  0 1 3
22.7  100.0  1 1 1
26.2  72.4  1 1 3
32.1  61.3  1 1 5

This entry pairs a crystal structure of NaVH8N2F6 with its computed X-ray diffraction stick pattern. Radiation: Cu Ka. Structure: the PBE+U geometry in the Materials Project.
Kinematic intensities with the Lorentz-polarization factor, no thermal factor.

```
data_NaVH8N2F6
_cell_length_a 8.5817
_cell_length_b 8.5817
_cell_length_c 8.5817
_cell_angle_alpha 90.00
_cell_angle_beta 90.00
_cell_angle_gamma 90.00
_space_group_name_H-M_alt 'F m -3 m'
_space_group_IT_number 225
_space_group_name_Hall '-F 4 2 3'
loop_
_atom_site_label
_atom_site_type_symbol
_atom_site_fract_x
_atom_site_fract_y
_atom_site_fract_z
Na1 Na 0.0000 0.0000 0.0000
V1 V 0.0000 0.0000 0.5000
H1 H 0.1811 0.1811 0.1811
N1 N 0.2500 0.2500 0.2500
F1 F 0.0000 0.0000 0.2674
```

Largest 6 diffraction maxima, sorted by position, 5° ≤ 2θ ≤ 70°:
Position (°2θ)  I_rel  (hkl)
17.9  45.0  1 1 1
20.7  92.7  2 0 0
29.4  62.7  2 2 0
42.1  100.0  4 0 0
47.4  46.1  4 2 0
61.1  51.1  4 4 0